Record 1
Calculated XRD peak list of TbSn5 for Cu Kα X-rays, from the GGA-PBE geometry in Alexandria.

Structural model:
Lattice parameters (Å, degrees): 7.994 7.994 4.565 90.00 90.00 146.39
Positions (direct):
Tb: 0.000 0.000 0.000
Sn: 0.169 0.831 0.500
Sn: 0.342 0.658 0.000
Sn: 0.500 0.500 0.500
Sn: 0.658 0.342 0.000
Sn: 0.831 0.169 0.500

Peak list (8 most intense, 10 to 90 degrees two-theta, sorted by position)
2θ 32.69, I = 100
2θ 35.18, I = 21
2θ 38.97, I = 16
2θ 39.48, I = 15
2θ 53.90, I = 13
2θ 61.56, I = 16
2θ 66.64, I = 14
2θ 67.34, I = 13

---

Record 2
Calculated XRD peak list of Ac2TbHg8 for Cu Kα X-rays, from the GGA-PBE geometry in Alexandria.

Structural model:
Lattice parameters (Å, degrees): 8.677 8.677 8.677 143.82 125.25 67.40
Positions (direct):
Ac: 0.207 0.207 0.000
Ac: 0.793 0.793 0.000
Tb: 0.500 0.500 0.000
Hg: 0.068 0.372 0.696
Hg: 0.215 0.000 0.215
Hg: 0.324 0.628 0.696
Hg: 0.355 0.855 0.500
Hg: 0.645 0.145 0.500
Hg: 0.676 0.372 0.304
Hg: 0.785 0.000 0.785
Hg: 0.932 0.628 0.304

Peak list (8 most intense, 10 to 90 degrees two-theta, sorted by position)
2θ 31.88, I = 47
2θ 33.25, I = 44
2θ 33.58, I = 100
2θ 34.28, I = 17
2θ 35.26, I = 20
2θ 59.63, I = 20
2θ 66.34, I = 18
2θ 67.11, I = 16

---

Record 3
Calculated XRD peak list of V15Cr4W for Cu Kα X-rays, from the GGA-PBE geometry in Alexandria.

Structural model:
Lattice parameters (Å, degrees): 4.204 4.204 14.892 90.00 90.00 90.00
Positions (direct):
V: 0.000 0.000 0.000
V: 0.000 0.000 0.203
V: 0.000 0.000 0.401
V: 0.000 0.000 0.599
V: 0.000 0.000 0.797
V: 0.000 0.500 0.105
V: 0.000 0.500 0.303
V: 0.000 0.500 0.500
V: 0.000 0.500 0.697
V: 0.000 0.500 0.895
V: 0.500 0.000 0.105
V: 0.500 0.000 0.303
V: 0.500 0.000 0.500
V: 0.500 0.000 0.697
V: 0.500 0.000 0.895
Cr: 0.500 0.500 0.204
Cr: 0.500 0.500 0.401
Cr: 0.500 0.500 0.599
Cr: 0.500 0.500 0.796
W: 0.500 0.500 0.000

Peak list (8 most intense, 10 to 90 degrees two-theta, sorted by position)
2θ 11.89, I = 4
2θ 21.13, I = 3
2θ 21.97, I = 5
2θ 24.31, I = 4
2θ 43.00, I = 100
2θ 62.35, I = 5
2θ 62.48, I = 10
2θ 78.81, I = 29

---

Record 4
Calculated XRD peak list of Li2ScI5 for Cu Kα X-rays, from the GGA-PBE geometry in Alexandria.

Structural model:
Lattice parameters (Å, degrees): 7.605 7.605 6.964 116.01 116.01 78.91
Positions (direct):
Li: 0.215 0.785 0.000
Li: 0.785 0.215 0.000
Sc: 0.795 0.795 0.199
I: 0.067 0.498 0.095
I: 0.076 0.076 0.340
I: 0.498 0.067 0.095
I: 0.500 0.500 0.876
I: 0.830 0.830 0.631

Peak list (8 most intense, 10 to 90 degrees two-theta, sorted by position)
2θ 23.94, I = 78
2θ 24.09, I = 46
2θ 24.39, I = 100
2θ 24.54, I = 45
2θ 25.60, I = 77
2θ 26.08, I = 39
2θ 29.22, I = 44
2θ 37.22, I = 60